Diffraction record for Ag5N2F4. The powder XRD pattern is simulated, not measured: it uses DFT lattice parameters and positions (GGA-PBE) and Cu Kα, 1.54184 Å.
Lines closer than 0.1° are merged.

Cell and atoms:
Cell lengths 3.1554, 6.1753, 9.6506 Å; angles 86.07, 89.03, 75.39 degrees
Sites, in units of the cell vectors:
Ag 0.0000 0.0000 0.0000
Ag 0.0707 0.8457 0.6316
Ag 0.3726 0.2436 0.6054
Ag 0.6274 0.7564 0.3946
Ag 0.9293 0.1543 0.3684
N 0.0399 0.4240 0.9694
N 0.9601 0.5760 0.0306
F 0.2697 0.4794 0.3440
F 0.4917 0.0386 0.1835
F 0.5083 0.9614 0.8165
F 0.7303 0.5206 0.6560

Top 10 peaks for 10 to 90 degrees two-theta, in order of rising 2θ:
2θ = 14.9°, I 100, (0 1 0)
2θ = 27.8°, I 78, (0 0 3)
2θ = 30.8°, I 54, (1 0 1)
2θ = 32.0°, I 84, (0 2 -1)
2θ = 34.3°, I 33, (1 1 2)
2θ = 37.2°, I 47, (-1 1 1)
2θ = 40.2°, I 66, (1 2 2)
2θ = 40.5°, I 56, (-1 1 2)
2θ = 40.8°, I 36, (1 0 3)
2θ = 46.9°, I 41, (1 -1 3)